Diffraction record for Ho3Tm5. The powder XRD pattern is simulated, not measured: it uses DFT lattice parameters and positions (GGA-PBE) and λ = 1.5418 Å (Cu Kα).
Peak positions follow from Bragg's law for the DFT cell and can differ from measured ones.

Atomic structure:
```
data_Ho3Tm5
_chemical_formula_sum 'Ho3 Tm5'
_space_group_name_H-M_alt 'P m m 2'
_space_group_IT_number 25
_space_group_name_Hall 'P 2 -2'
_cell_length_a 3.573
_cell_length_b 5.532
_cell_length_c 12.373
_cell_angle_alpha 90.00
_cell_angle_beta 90.00
_cell_angle_gamma 90.00
loop_
_atom_site_label
_atom_site_fract_x
_atom_site_fract_y
_atom_site_fract_z
Ho1 0.000 0.000 0.000
Ho2 0.000 0.500 0.169
Ho3 0.500 0.000 0.252
Tm1 0.000 0.000 0.503
Tm2 0.000 0.500 0.668
Tm3 0.500 0.000 0.751
Tm4 0.500 0.500 0.420
Tm5 0.500 0.500 0.917
```

Top 10 peaks for 2θ = 10–90°, by angle:
h k l, d [Å], I/Imax
0 0 4, 3.094, 24
0 2 0, 2.766, 24
1 1 2, 2.700, 100
0 2 4, 2.062, 15
2 0 0, 1.786, 20
1 3 2, 1.584, 20
2 2 0, 1.501, 22
0 1 8, 1.490, 16
2 1 8, 1.144, 14
2 4 0, 1.094, 9